Structure and simulated powder XRD pattern of Pr4Cd5Ir2 (a cell relaxed with PBE; λ = 1.5418 Å (Cu Kα)).

Cell and atoms:
Cell: 7.8211 3.8441 9.8084 Å, 90.00 94.42 90.00°
Fractional coordinates of all 11 atoms:
1 Pr 0.1702 0.0000 0.3505
2 Pr 0.2203 0.0000 0.9470
3 Pr 0.7797 0.0000 0.0530
4 Pr 0.8298 0.0000 0.6495
5 Cd 0.1871 0.5000 0.6535
6 Cd 0.4518 0.5000 0.1804
7 Cd 0.5000 0.5000 0.5000
8 Cd 0.5482 0.5000 0.8196
9 Cd 0.8129 0.5000 0.3465
10 Ir 0.0722 0.5000 0.1429
11 Ir 0.9278 0.5000 0.8571

Peak list (10 most intense, 5° ≤ 2θ ≤ 70°, by angle)
2theta  d (Å)  I (rel.)
9.0  9.779  38
11.3  7.798  54
31.2  2.864  73
32.3  2.774  99
32.7  2.737  73
34.5  2.600  100
36.1  2.486  69
36.8  2.445  69
37.3  2.411  47
47.3  1.922  49



Structure and simulated powder XRD pattern of RbPuCl4 (a cell relaxed with PBE; λ = 1.5418 Å (Cu Kα)).

Cell and atoms:
Cell: 7.6280 10.2226 10.4639 Å, 90.00 90.00 90.00°
Fractional coordinates of all 24 atoms:
1 Rb 0.0076 0.1733 0.2500
2 Rb 0.0076 0.3267 0.7500
3 Rb 0.9924 0.6733 0.2500
4 Rb 0.9924 0.8267 0.7500
5 Pu 0.5000 0.0000 0.0000
6 Pu 0.5000 0.0000 0.5000
7 Pu 0.5000 0.5000 0.0000
8 Pu 0.5000 0.5000 0.5000
9 Cl 0.1874 0.5824 0.5728
10 Cl 0.1874 0.5824 0.9272
11 Cl 0.1874 0.9176 0.0728
12 Cl 0.1874 0.9176 0.4272
13 Cl 0.3551 0.2500 0.0000
14 Cl 0.3551 0.2500 0.5000
15 Cl 0.3921 0.5290 0.2500
16 Cl 0.3921 0.9710 0.7500
17 Cl 0.6079 0.0290 0.2500
18 Cl 0.6079 0.4710 0.7500
19 Cl 0.6449 0.7500 0.0000
20 Cl 0.6449 0.7500 0.5000
21 Cl 0.8126 0.0824 0.5728
22 Cl 0.8126 0.0824 0.9272
23 Cl 0.8126 0.4176 0.0728
24 Cl 0.8126 0.4176 0.4272

Peak list (10 most intense, 5° ≤ 2θ ≤ 70°, by angle)
2theta  d (Å)  I (rel.)
11.6  7.628  58
16.9  5.232  33
17.3  5.111  41
20.6  4.315  100
20.9  4.246  81
23.3  3.814  30
24.3  3.656  42
34.0  2.639  48
37.1  2.423  26
40.5  2.227  35



Structure and simulated powder XRD pattern of Li2ReN2 (a cell relaxed with PBE; λ = 1.5418 Å (Cu Kα)).

Cell and atoms:
Cell: 8.8683 4.9542 5.2729 Å, 90.00 90.00 90.00°
Fractional coordinates of all 20 atoms:
1 Li 0.1895 0.0029 0.2450
2 Li 0.1895 0.9971 0.7450
3 Li 0.3105 0.4971 0.7450
4 Li 0.3105 0.5029 0.2450
5 Li 0.6895 0.4971 0.7550
6 Li 0.6895 0.5029 0.2550
7 Li 0.8105 0.0029 0.2550
8 Li 0.8105 0.9971 0.7550
9 Re 0.0000 0.4984 0.7500
10 Re 0.0000 0.5016 0.2500
11 Re 0.5000 0.0016 0.2500
12 Re 0.5000 0.9984 0.7500
13 N 0.1220 0.2972 0.4986
14 N 0.1220 0.7028 0.9986
15 N 0.3780 0.2028 0.9986
16 N 0.3780 0.7972 0.4986
17 N 0.6220 0.2028 0.5014
18 N 0.6220 0.7972 0.0014
19 N 0.8780 0.2972 0.0014
20 N 0.8780 0.7028 0.5014

Peak list (10 most intense, 5° ≤ 2θ ≤ 70°, by angle)
2theta  d (Å)  I (rel.)
20.0  4.434  48
20.5  4.325  100
34.0  2.636  11
35.4  2.539  26
39.8  2.266  17
40.1  2.251  32
41.8  2.163  14
49.9  1.829  22
50.6  1.805  12
54.9  1.671  19